Record 1
The following is a calculated powder X-ray diffraction pattern of Ga8Ni3Rh2. It was derived from the GGA-PBE geometry in Alexandria, using copper Kα.

Structural model:
a b c (Å): 7.140 4.139 7.177
angles (deg): 90.00 110.34 90.00
Fractional coordinates of all 13 atoms:
Ga1 0.117 0.000 0.361
Ga2 0.119 0.500 0.883
Ga3 0.358 0.000 0.117
Ga4 0.371 0.500 0.627
Ga5 0.629 0.500 0.373
Ga6 0.642 0.000 0.883
Ga7 0.881 0.500 0.117
Ga8 0.883 0.000 0.639
Ni1 0.258 0.500 0.259
Ni2 0.500 0.000 0.500
Ni3 0.742 0.500 0.741
Rh1 0.256 0.000 0.745
Rh2 0.744 0.000 0.255

The 10 most intense peaks (10° ≤ 2θ ≤ 90°), by angle:
d = 3.384 Å, 2θ = 26.3°, rel. 20
d = 3.365 Å, 2θ = 26.5°, rel. 10
d = 3.347 Å, 2θ = 26.6°, rel. 11
d = 2.071 Å, 2θ = 43.7°, rel. 100
d = 2.063 Å, 2θ = 43.9°, rel. 65
d = 2.044 Å, 2θ = 44.3°, rel. 31
d = 1.469 Å, 2θ = 63.3°, rel. 10
d = 1.454 Å, 2θ = 64.0°, rel. 20
d = 1.195 Å, 2θ = 80.3°, rel. 15
d = 1.194 Å, 2θ = 80.5°, rel. 10



Record 2
The following is a calculated powder X-ray diffraction pattern of Np2Ta2S7. It was derived from the GGA-PBE geometry in Alexandria, using copper Kα.

Structural model:
a b c (Å): 8.247 8.247 8.247
angles (deg): 154.91 65.78 120.30
Fractional coordinates of all 11 atoms:
Np1 0.230 0.000 0.230
Np2 0.770 0.000 0.770
Ta1 0.323 0.823 0.500
Ta2 0.762 0.762 0.000
S1 0.049 0.719 0.329
S2 0.091 0.091 0.000
S3 0.390 0.719 0.671
S4 0.400 0.499 0.901
S5 0.599 0.499 0.099
S6 0.677 0.304 0.373
S7 0.931 0.304 0.627

The 10 most intense peaks (10° ≤ 2θ ≤ 90°), by angle:
d = 3.531 Å, 2θ = 25.2°, rel. 100
d = 3.463 Å, 2θ = 25.7°, rel. 44
d = 3.284 Å, 2θ = 27.2°, rel. 60
d = 2.967 Å, 2θ = 30.1°, rel. 56
d = 2.383 Å, 2θ = 37.8°, rel. 76
d = 2.330 Å, 2θ = 38.6°, rel. 20
d = 2.075 Å, 2θ = 43.6°, rel. 57
d = 2.012 Å, 2θ = 45.1°, rel. 26
d = 1.597 Å, 2θ = 57.7°, rel. 31
d = 1.338 Å, 2θ = 70.4°, rel. 18



Record 3
The following is a calculated powder X-ray diffraction pattern of AlFe4C. It was derived from the GGA-PBE geometry in Alexandria, using copper Kα.

Structural model:
a b c (Å): 2.917 3.854 6.356
angles (deg): 90.00 90.00 90.00
Fractional coordinates of all 6 atoms:
Al1 0.000 0.000 0.000
Fe1 0.000 0.500 0.295
Fe2 0.000 0.500 0.705
Fe3 0.500 0.000 0.319
Fe4 0.500 0.000 0.681
C1 0.500 0.500 0.500

The 10 most intense peaks (10° ≤ 2θ ≤ 90°), by angle:
d = 6.356 Å, 2θ = 13.9°, rel. 68
d = 3.178 Å, 2θ = 28.1°, rel. 51
d = 2.326 Å, 2θ = 38.7°, rel. 88
d = 2.184 Å, 2θ = 41.3°, rel. 37
d = 2.119 Å, 2θ = 42.7°, rel. 40
d = 1.927 Å, 2θ = 47.2°, rel. 45
d = 1.877 Å, 2θ = 48.5°, rel. 100
d = 1.566 Å, 2θ = 59.0°, rel. 39
d = 1.426 Å, 2θ = 65.5°, rel. 21
d = 1.115 Å, 2θ = 87.4°, rel. 19



Record 4
The following is a calculated powder X-ray diffraction pattern of Ac4RhCl5. It was derived from the GGA-PBE geometry in Alexandria, using copper Kα.

Structural model:
a b c (Å): 10.073 10.073 10.073
angles (deg): 156.13 127.93 58.06
Fractional coordinates of all 10 atoms:
Ac1 0.179 0.179 0.000
Ac2 0.225 0.500 0.725
Ac3 0.775 0.500 0.275
Ac4 0.821 0.821 0.000
Rh1 0.000 0.000 0.000
Cl1 0.096 0.327 0.770
Cl2 0.443 0.673 0.770
Cl3 0.500 0.000 0.500
Cl4 0.557 0.327 0.230
Cl5 0.904 0.673 0.230

The 10 most intense peaks (10° ≤ 2θ ≤ 90°), by angle:
d = 8.808 Å, 2θ = 10.0°, rel. 22
d = 7.903 Å, 2θ = 11.2°, rel. 72
d = 3.952 Å, 2θ = 22.5°, rel. 32
d = 3.769 Å, 2θ = 23.6°, rel. 28
d = 3.398 Å, 2θ = 26.2°, rel. 34
d = 3.273 Å, 2θ = 27.2°, rel. 21
d = 2.989 Å, 2θ = 29.9°, rel. 100
d = 2.936 Å, 2θ = 30.4°, rel. 45
d = 2.634 Å, 2θ = 34.0°, rel. 20
d = 2.298 Å, 2θ = 39.2°, rel. 72



Record 5
The following is a calculated powder X-ray diffraction pattern of Pr3Ga2Ag. It was derived from the GGA-PBE geometry in Alexandria, using copper Kα.

Structural model:
a b c (Å): 5.298 5.298 13.063
angles (deg): 90.00 90.00 120.00
Fractional coordinates of all 12 atoms:
Pr1 0.000 0.000 0.244
Pr2 0.000 0.000 0.756
Pr3 0.333 0.667 0.415
Pr4 0.333 0.667 0.920
Pr5 0.667 0.333 0.080
Pr6 0.667 0.333 0.585
Ga1 0.000 0.000 0.000
Ga2 0.000 0.000 0.500
Ga3 0.333 0.667 0.170
Ga4 0.667 0.333 0.830
Ag1 0.333 0.667 0.670
Ag2 0.667 0.333 0.330

The 10 most intense peaks (10° ≤ 2θ ≤ 90°), by angle:
d = 3.754 Å, 2θ = 23.7°, rel. 14
d = 2.661 Å, 2θ = 33.7°, rel. 100
d = 2.649 Å, 2θ = 33.8°, rel. 99
d = 1.877 Å, 2θ = 48.5°, rel. 35
d = 1.538 Å, 2θ = 60.2°, rel. 18
d = 1.531 Å, 2θ = 60.5°, rel. 54
d = 1.330 Å, 2θ = 70.8°, rel. 11
d = 1.324 Å, 2θ = 71.2°, rel. 11
d = 1.189 Å, 2θ = 80.9°, rel. 15
d = 1.186 Å, 2θ = 81.1°, rel. 15



Record 6
The following is a calculated powder X-ray diffraction pattern of Ca4PtN4. It was derived from the GGA-PBE geometry in Alexandria, using copper Kα.

Structural model:
a b c (Å): 6.011 6.124 8.360
angles (deg): 87.78 71.05 74.40
Fractional coordinates of all 18 atoms:
Ca1 0.038 0.240 0.418
Ca2 0.157 0.200 0.015
Ca3 0.284 0.696 0.148
Ca4 0.403 0.288 0.627
Ca5 0.597 0.712 0.373
Ca6 0.716 0.304 0.852
Ca7 0.843 0.800 0.985
Ca8 0.962 0.760 0.582
Pt1 0.401 0.777 0.758
Pt2 0.599 0.223 0.242
N1 0.108 0.038 0.759
N2 0.258 0.528 0.882
N3 0.285 0.491 0.391
N4 0.402 0.011 0.221
N5 0.598 0.989 0.779
N6 0.715 0.509 0.609
N7 0.742 0.472 0.118
N8 0.892 0.962 0.241

The 10 most intense peaks (10° ≤ 2θ ≤ 90°), by angle:
d = 5.472 Å, 2θ = 16.2°, rel. 80
d = 4.847 Å, 2θ = 18.3°, rel. 86
d = 4.605 Å, 2θ = 19.3°, rel. 49
d = 4.536 Å, 2θ = 19.6°, rel. 57
d = 3.945 Å, 2θ = 22.5°, rel. 68
d = 3.854 Å, 2θ = 23.1°, rel. 59
d = 2.946 Å, 2θ = 30.3°, rel. 82
d = 2.894 Å, 2θ = 30.9°, rel. 60
d = 2.571 Å, 2θ = 34.9°, rel. 72
d = 2.415 Å, 2θ = 37.2°, rel. 100



Record 7
The following is a calculated powder X-ray diffraction pattern of CeY7Ho3. It was derived from the GGA-PBE geometry in Alexandria, using copper Kα.

Structural model:
a b c (Å): 9.906 9.906 6.563
angles (deg): 100.51 100.51 139.30
Fractional coordinates of all 11 atoms:
Ce1 0.000 0.000 0.000
Y1 0.088 0.912 0.500
Y2 0.120 0.442 0.065
Y3 0.442 0.120 0.065
Y4 0.500 0.500 0.500
Y5 0.558 0.880 0.935
Y6 0.880 0.558 0.935
Y7 0.912 0.088 0.500
Ho1 0.000 0.500 0.500
Ho2 0.500 0.000 0.500
Ho3 0.500 0.500 0.000

The 10 most intense peaks (10° ≤ 2θ ≤ 90°), by angle:
d = 4.788 Å, 2θ = 18.5°, rel. 14
d = 4.644 Å, 2θ = 19.1°, rel. 10
d = 3.139 Å, 2θ = 28.4°, rel. 9
d = 2.796 Å, 2θ = 32.0°, rel. 100
d = 2.767 Å, 2θ = 32.4°, rel. 30
d = 2.708 Å, 2θ = 33.1°, rel. 41
d = 1.966 Å, 2θ = 46.2°, rel. 19
d = 1.614 Å, 2θ = 57.1°, rel. 13
d = 1.569 Å, 2θ = 58.8°, rel. 18
d = 1.453 Å, 2θ = 64.1°, rel. 12



Record 8
The following is a calculated powder X-ray diffraction pattern of Mg2Ag3. It was derived from the GGA-PBE geometry in Alexandria, using copper Kα.

Structural model:
a b c (Å): 7.770 7.770 7.770
angles (deg): 157.35 148.77 38.92
Fractional coordinates of all 5 atoms:
Mg1 0.191 0.191 0.000
Mg2 0.809 0.809 0.000
Ag1 0.000 0.000 0.000
Ag2 0.397 0.397 0.000
Ag3 0.603 0.603 0.000

The 10 most intense peaks (10° ≤ 2θ ≤ 90°), by angle:
d = 7.326 Å, 2θ = 12.1°, rel. 84
d = 3.177 Å, 2θ = 28.1°, rel. 29
d = 2.465 Å, 2θ = 36.4°, rel. 100
d = 2.400 Å, 2θ = 37.5°, rel. 91
d = 2.336 Å, 2θ = 38.5°, rel. 21
d = 2.114 Å, 2θ = 42.8°, rel. 62
d = 2.091 Å, 2θ = 43.3°, rel. 30
d = 1.487 Å, 2θ = 62.5°, rel. 38
d = 1.288 Å, 2θ = 73.6°, rel. 23
d = 1.259 Å, 2θ = 75.5°, rel. 31